The following is a simulated X-ray powder pattern of In8Co2S. It was derived from a crystal structure in OQMD, relaxed with GGA-PBE, using Cu Kα (weighted mean of Kα1 and Kα2).

Structure:
```
In8Co2S
1.0
9.8329 0.0000 0.0000
0.0000 9.8329 0.0000
0.0000 0.0000 9.9919
In Co S
32 8 4
Direct
0.0000 0.0000 0.1724
0.0000 0.0000 0.8276
0.0525 0.2972 0.2999
0.0525 0.2972 0.7001
0.0987 0.9013 0.5000
0.1877 0.8123 0.0000
0.1976 0.1976 0.0000
0.2028 0.5525 0.2001
0.2028 0.5525 0.7999
0.2972 0.0525 0.2999
0.2972 0.0525 0.7001
0.3024 0.6976 0.5000
0.3123 0.3123 0.5000
0.4013 0.4013 0.0000
0.4475 0.7972 0.2001
0.4475 0.7972 0.7999
0.5000 0.5000 0.3276
0.5000 0.5000 0.6724
0.5525 0.2028 0.2001
0.5525 0.2028 0.7999
0.5987 0.5987 0.0000
0.6877 0.6877 0.5000
0.6976 0.3024 0.5000
0.7028 0.9475 0.2999
0.7028 0.9475 0.7001
0.7972 0.4475 0.2001
0.7972 0.4475 0.7999
0.8024 0.8024 0.0000
0.8123 0.1877 0.0000
0.9013 0.0987 0.5000
0.9475 0.7028 0.2999
0.9475 0.7028 0.7001
0.1870 0.8130 0.2586
0.1870 0.8130 0.7414
0.3130 0.3130 0.2414
0.3130 0.3130 0.7586
0.6870 0.6870 0.2414
0.6870 0.6870 0.7586
0.8130 0.1870 0.2586
0.8130 0.1870 0.7414
0.0000 0.5000 0.0000
0.0000 0.5000 0.5000
0.5000 0.0000 0.0000
0.5000 0.0000 0.5000
```

Main lines, sorted by position (10° ≤ 2θ ≤ 80°):
- 2θ 31.3, rel. 33
- 2θ 33.8, rel. 100
- 2θ 34.0, rel. 41
- 2θ 37.7, rel. 29
- 2θ 38.9, rel. 41
- 2θ 42.0, rel. 51

=====

The following is a simulated X-ray powder pattern of Re5Ni7. It was derived from a crystal structure in OQMD, relaxed with GGA-PBE, using Cu Kα (weighted mean of Kα1 and Kα2).

Structure:
```
Re5Ni7
1.0
4.9495 0.0000 0.0000
-2.4748 4.2864 0.0000
0.0000 0.0000 14.8985
Re Ni
10 14
Direct
0.0000 0.0000 0.0909
0.0000 0.0000 0.4091
0.0000 0.0000 0.5909
0.0000 0.0000 0.9091
0.0000 0.5000 0.0000
0.0000 0.5000 0.5000
0.5000 0.0000 0.0000
0.5000 0.0000 0.5000
0.5000 0.5000 0.0000
0.5000 0.5000 0.5000
0.1557 0.3114 0.2500
0.1557 0.8443 0.2500
0.3114 0.1557 0.7500
0.3333 0.6667 0.1344
0.3333 0.6667 0.3656
0.3333 0.6667 0.6544
0.3333 0.6667 0.8456
0.6667 0.3333 0.1544
0.6667 0.3333 0.3456
0.6667 0.3333 0.6344
0.6667 0.3333 0.8656
0.6886 0.8443 0.2500
0.8443 0.1557 0.7500
0.8443 0.6886 0.7500
```

Main lines, sorted by position (10° ≤ 2θ ≤ 80°):
- 2θ 11.9, rel. 64
- 2θ 42.1, rel. 42
- 2θ 42.2, rel. 23
- 2θ 43.9, rel. 100
- 2θ 69.2, rel. 17
- 2θ 78.1, rel. 20

=====

The following is a simulated X-ray powder pattern of BaPr8P4. It was derived from a crystal structure in OQMD, relaxed with GGA-PBE, using Cu Kα (weighted mean of Kα1 and Kα2).

Structure:
```
BaPr8P4
1.0
-6.1481 6.1481 2.9279
6.1481 -6.1481 2.9279
6.1481 6.1481 -2.9279
Ba Pr P
1 8 4
Direct
0.0000 0.0000 0.0000
0.0011 0.3392 0.3403
0.3294 0.3300 0.6594
0.3300 0.6706 0.0006
0.3392 0.9989 0.3380
0.6608 0.0011 0.6620
0.6700 0.3294 0.9994
0.6706 0.6700 0.3406
0.9989 0.6608 0.6597
0.1711 0.5009 0.6720
0.4991 0.1711 0.6702
0.5009 0.8289 0.3298
0.8289 0.4991 0.3280
```

Main lines, sorted by position (10° ≤ 2θ ≤ 80°):
- 2θ 26.5, rel. 100
- 2θ 30.5, rel. 26
- 2θ 30.9, rel. 51
- 2θ 44.0, rel. 38
- 2θ 52.3, rel. 31
- 2θ 54.7, rel. 20

=====

The following is a simulated X-ray powder pattern of YTmInFe2. It was derived from a crystal structure in OQMD, relaxed with GGA-PBE, using Cu Kα (weighted mean of Kα1 and Kα2).

Structure:
```
YTmInFe2
1.0
3.9680 0.0000 0.0000
0.0000 1.8773 6.8097
0.0000 -1.8773 6.8097
Y Tm In Fe
1 1 1 2
Direct
0.0000 0.0000 0.0000
0.0000 0.7234 0.7234
0.5000 0.3613 0.3613
0.5000 0.1556 0.1556
0.5000 0.5736 0.5736
```

Main lines, sorted by position (10° ≤ 2θ ≤ 80°):
- 2θ 30.9, rel. 41
- 2θ 33.5, rel. 100
- 2θ 34.7, rel. 79
- 2θ 38.5, rel. 25
- 2θ 40.9, rel. 30
- 2θ 61.0, rel. 30